(1)
Calculated powder diffractogram
Compound: Nd3SmTl2
Radiation: Cu Kα (weighted mean of Kα1 and Kα2)
Structure: a cell relaxed with PBE
Neutral-atom scattering factors, no anomalous dispersion.

The 10 most intense peaks (10° ≤ 2θ ≤ 80°), most intense first:
2theta  I_rel
31.0  100
32.2  52
34.0  37
59.0  24
33.7  20
36.8  15
31.1  15
51.0  12
28.9  10
46.8  10

Crystal structure
```
data_Nd3SmTl2
_space_group_name_H-M_alt 'P 1'
_space_group_IT_number 1
_cell_length_a 5.273
_cell_length_b 10.340
_cell_length_c 6.912
_cell_angle_alpha 90.00
_cell_angle_beta 90.00
_cell_angle_gamma 90.00
loop_
_space_group_symop_operation_xyz
'x,y,z'
loop_
_atom_site_label
_atom_site_fract_x
_atom_site_fract_y
_atom_site_fract_z
_atom_site_occupancy
Nd1 0.000 0.042 0.000 1
Nd2 0.000 0.318 0.366 1
Nd3 0.000 0.682 0.866 1
Nd4 0.000 0.958 0.500 1
Nd5 0.500 0.185 0.732 1
Nd6 0.500 0.815 0.232 1
Sm1 0.500 0.458 0.095 1
Sm2 0.500 0.542 0.595 1
Tl1 0.000 0.365 0.842 1
Tl2 0.000 0.635 0.342 1
Tl3 0.500 0.137 0.257 1
Tl4 0.500 0.863 0.757 1
```

***

(2)
Calculated powder diffractogram
Compound: MgRh4Se8
Radiation: Cu Kα (weighted mean of Kα1 and Kα2)
Structure: a cell relaxed with PBE
Neutral-atom scattering factors, no anomalous dispersion.

The 10 most intense peaks (10° ≤ 2θ ≤ 80°), most intense first:
2theta  I_rel
33.9  100
14.5  82
48.6  73
44.4  32
27.9  27
60.6  21
51.0  17
62.6  14
71.2  10
68.0  7

Crystal structure
```
data_MgRh4Se8
_space_group_name_H-M_alt 'P 1'
_space_group_IT_number 1
_cell_length_a 7.490
_cell_length_b 7.490
_cell_length_c 7.490
_cell_angle_alpha 60.00
_cell_angle_beta 60.00
_cell_angle_gamma 60.00
loop_
_space_group_symop_operation_xyz
'x,y,z'
loop_
_atom_site_label
_atom_site_fract_x
_atom_site_fract_y
_atom_site_fract_z
_atom_site_occupancy
Mg1 0.000 0.000 0.000 1
Rh1 0.378 0.378 0.378 1
Rh2 0.378 0.378 0.866 1
Rh3 0.378 0.866 0.378 1
Rh4 0.866 0.378 0.378 1
Se1 0.140 0.140 0.140 1
Se2 0.140 0.140 0.581 1
Se3 0.140 0.581 0.140 1
Se4 0.163 0.612 0.612 1
Se5 0.581 0.140 0.140 1
Se6 0.612 0.163 0.612 1
Se7 0.612 0.612 0.163 1
Se8 0.612 0.612 0.612 1
```

***

(3)
Calculated powder diffractogram
Compound: YCo3SiB
Radiation: Cu Kα (weighted mean of Kα1 and Kα2)
Structure: a cell relaxed with PBE
Neutral-atom scattering factors, no anomalous dispersion.

The 10 most intense peaks (10° ≤ 2θ ≤ 80°), most intense first:
2theta  I_rel
36.8  100
37.6  83
47.7  74
34.0  39
47.9  34
32.7  34
59.1  19
68.7  11
69.4  11
70.5  10

Crystal structure
```
data_YCo3SiB
_space_group_name_H-M_alt 'P 1'
_space_group_IT_number 1
_cell_length_a 6.086
_cell_length_b 6.086
_cell_length_c 5.465
_cell_angle_alpha 90.00
_cell_angle_beta 90.00
_cell_angle_gamma 128.20
loop_
_space_group_symop_operation_xyz
'x,y,z'
loop_
_atom_site_label
_atom_site_fract_x
_atom_site_fract_y
_atom_site_fract_z
_atom_site_occupancy
Y1 0.239 0.761 0.750 1
Y2 0.761 0.239 0.250 1
Co1 0.245 0.245 0.000 1
Co2 0.245 0.245 0.500 1
Co3 0.329 0.671 0.250 1
Co4 0.671 0.329 0.750 1
Co5 0.755 0.755 0.000 1
Co6 0.755 0.755 0.500 1
Si1 0.127 0.873 0.250 1
Si2 0.873 0.127 0.750 1
B1 0.492 0.508 0.750 1
B2 0.508 0.492 0.250 1
```

***

(4)
Calculated powder diffractogram
Compound: Sc7SCl12
Radiation: Cu Kα (weighted mean of Kα1 and Kα2)
Structure: a cell relaxed with PBE
Neutral-atom scattering factors, no anomalous dispersion.

The 10 most intense peaks (10° ≤ 2θ ≤ 80°), most intense first:
2theta  I_rel
34.4  100
49.4  61
13.3  32
61.6  14
12.5  13
29.7  12
72.5  8
18.3  7
32.7  6
22.7  5

Crystal structure
```
data_Sc7SCl12
_space_group_name_H-M_alt 'P 1'
_space_group_IT_number 1
_cell_length_a 8.247
_cell_length_b 8.247
_cell_length_c 8.247
_cell_angle_alpha 107.51
_cell_angle_beta 107.51
_cell_angle_gamma 107.51
loop_
_space_group_symop_operation_xyz
'x,y,z'
loop_
_atom_site_label
_atom_site_fract_x
_atom_site_fract_y
_atom_site_fract_z
_atom_site_occupancy
Sc1 0.000 0.000 0.000 1
Sc2 0.182 0.392 0.468 1
Sc3 0.392 0.468 0.182 1
Sc4 0.468 0.182 0.392 1
Sc5 0.532 0.818 0.608 1
Sc6 0.608 0.532 0.818 1
Sc7 0.818 0.608 0.532 1
S1 0.500 0.500 0.500 1
Cl1 0.039 0.343 0.118 1
Cl2 0.118 0.039 0.343 1
Cl3 0.185 0.720 0.575 1
Cl4 0.280 0.425 0.815 1
Cl5 0.343 0.118 0.039 1
Cl6 0.425 0.815 0.280 1
Cl7 0.575 0.185 0.720 1
Cl8 0.657 0.882 0.961 1
Cl9 0.720 0.575 0.185 1
Cl10 0.815 0.280 0.425 1
Cl11 0.882 0.961 0.657 1
Cl12 0.961 0.657 0.882 1
```

***

(5)
Calculated powder diffractogram
Compound: La6Nd2Hg
Radiation: Cu Kα (weighted mean of Kα1 and Kα2)
Structure: a cell relaxed with PBE
Neutral-atom scattering factors, no anomalous dispersion.

The 10 most intense peaks (10° ≤ 2θ ≤ 80°), most intense first:
2theta  I_rel
29.9  100
31.0  47
32.0  35
30.3  21
35.8  19
55.8  17
48.8  16
44.7  14
57.2  14
62.7  10

Crystal structure
```
data_La6Nd2Hg
_space_group_name_H-M_alt 'P 1'
_space_group_IT_number 1
_cell_length_a 10.626
_cell_length_b 10.634
_cell_length_c 5.588
_cell_angle_alpha 90.00
_cell_angle_beta 90.00
_cell_angle_gamma 90.00
loop_
_space_group_symop_operation_xyz
'x,y,z'
loop_
_atom_site_label
_atom_site_fract_x
_atom_site_fract_y
_atom_site_fract_z
_atom_site_occupancy
La1 0.041 0.184 0.000 1
La2 0.126 0.625 0.500 1
La3 0.184 0.957 0.500 1
La4 0.316 0.457 0.000 1
La5 0.374 0.125 0.000 1
La6 0.459 0.684 0.500 1
La7 0.541 0.316 0.500 1
La8 0.626 0.875 0.000 1
La9 0.684 0.543 0.000 1
La10 0.816 0.043 0.500 1
La11 0.874 0.375 0.500 1
La12 0.959 0.816 0.000 1
Nd1 0.216 0.282 0.500 1
Nd2 0.284 0.782 0.000 1
Nd3 0.716 0.218 0.000 1
Nd4 0.784 0.718 0.500 1
Hg1 0.000 0.500 0.000 1
Hg2 0.500 0.000 0.500 1
```

***

(6)
Calculated powder diffractogram
Compound: YCd6In
Radiation: Cu Kα (weighted mean of Kα1 and Kα2)
Structure: a cell relaxed with PBE
Neutral-atom scattering factors, no anomalous dispersion.

The 10 most intense peaks (10° ≤ 2θ ≤ 80°), most intense first:
2theta  I_rel
34.6  100
37.5  30
34.4  29
35.2  15
65.8  14
57.6  13
70.8  12
40.1  11
69.6  11
35.9  10

Crystal structure
```
data_YCd6In
_space_group_name_H-M_alt 'P 1'
_space_group_IT_number 1
_cell_length_a 4.800
_cell_length_b 6.398
_cell_length_c 6.398
_cell_angle_alpha 74.42
_cell_angle_beta 90.00
_cell_angle_gamma 90.00
loop_
_space_group_symop_operation_xyz
'x,y,z'
loop_
_atom_site_label
_atom_site_fract_x
_atom_site_fract_y
_atom_site_fract_z
_atom_site_occupancy
Y1 0.000 0.000 0.000 1
Cd1 0.000 0.423 0.423 1
Cd2 0.000 0.512 0.909 1
Cd3 0.000 0.909 0.512 1
Cd4 0.500 0.299 0.717 1
Cd5 0.500 0.717 0.299 1
Cd6 0.500 0.799 0.799 1
In1 0.500 0.225 0.225 1
```

***

(7)
Calculated powder diffractogram
Compound: Sn3Cl3O
Radiation: Cu Kα (weighted mean of Kα1 and Kα2)
Structure: a cell relaxed with PBE
Neutral-atom scattering factors, no anomalous dispersion.

The 10 most intense peaks (10° ≤ 2θ ≤ 80°), most intense first:
2theta  I_rel
27.0  100
18.8  90
26.5  85
32.4  84
42.6  58
29.5  51
42.3  49
44.3  35
28.0  34
20.8  29

Crystal structure
```
data_Sn3Cl3O
_space_group_name_H-M_alt 'P 1'
_space_group_IT_number 1
_cell_length_a 8.000
_cell_length_b 5.534
_cell_length_c 9.345
_cell_angle_alpha 90.00
_cell_angle_beta 103.48
_cell_angle_gamma 90.00
loop_
_space_group_symop_operation_xyz
'x,y,z'
loop_
_atom_site_label
_atom_site_fract_x
_atom_site_fract_y
_atom_site_fract_z
_atom_site_occupancy
Sn1 0.080 0.250 0.275 1
Sn2 0.234 0.250 0.982 1
Sn3 0.420 0.750 0.656 1
Sn4 0.580 0.250 0.344 1
Sn5 0.766 0.750 0.018 1
Sn6 0.920 0.750 0.725 1
Cl1 0.090 0.750 0.353 1
Cl2 0.350 0.750 0.965 1
Cl3 0.411 0.250 0.578 1
Cl4 0.589 0.750 0.422 1
Cl5 0.650 0.250 0.035 1
Cl6 0.910 0.250 0.647 1
O1 0.323 0.250 0.217 1
O2 0.677 0.750 0.783 1
```

***

(8)
Calculated powder diffractogram
Compound: Ho3Er8Th
Radiation: Cu Kα (weighted mean of Kα1 and Kα2)
Structure: a cell relaxed with PBE
Neutral-atom scattering factors, no anomalous dispersion.

The 10 most intense peaks (10° ≤ 2θ ≤ 80°), most intense first:
2theta  I_rel
33.2  100
20.1  28
59.3  26
59.2  13
47.7  12
23.3  11
79.4  11
39.1  10
69.6  8
52.2  7

Crystal structure
```
data_Ho3Er8Th
_space_group_name_H-M_alt 'P 1'
_space_group_IT_number 1
_cell_length_a 9.366
_cell_length_b 9.366
_cell_length_c 9.366
_cell_angle_alpha 131.93
_cell_angle_beta 131.93
_cell_angle_gamma 70.34
loop_
_space_group_symop_operation_xyz
'x,y,z'
loop_
_atom_site_label
_atom_site_fract_x
_atom_site_fract_y
_atom_site_fract_z
_atom_site_occupancy
Ho1 0.000 0.000 0.000 1
Ho2 0.250 0.750 0.500 1
Ho3 0.750 0.250 0.500 1
Er1 0.125 0.125 0.500 1
Er2 0.125 0.625 0.000 1
Er3 0.375 0.375 0.500 1
Er4 0.375 0.875 0.000 1
Er5 0.625 0.125 0.000 1
Er6 0.625 0.625 0.500 1
Er7 0.875 0.375 0.000 1
Er8 0.875 0.875 0.500 1
Th1 0.500 0.500 0.000 1
```

***

(9)
Calculated powder diffractogram
Compound: Tb2OsRu3
Radiation: Cu Kα (weighted mean of Kα1 and Kα2)
Structure: a cell relaxed with PBE
Neutral-atom scattering factors, no anomalous dispersion.

The 10 most intense peaks (10° ≤ 2θ ≤ 80°), most intense first:
2theta  I_rel
39.6  100
36.3  63
40.5  52
33.7  49
66.8  28
64.2  24
61.9  24
70.9  23
44.4  16
77.0  15

Crystal structure
```
data_Tb2OsRu3
_space_group_name_H-M_alt 'P 1'
_space_group_IT_number 1
_cell_length_a 5.319
_cell_length_b 5.319
_cell_length_c 8.819
_cell_angle_alpha 90.00
_cell_angle_beta 90.00
_cell_angle_gamma 120.00
loop_
_space_group_symop_operation_xyz
'x,y,z'
loop_
_atom_site_label
_atom_site_fract_x
_atom_site_fract_y
_atom_site_fract_z
_atom_site_occupancy
Tb1 0.333 0.667 0.065 1
Tb2 0.333 0.667 0.435 1
Tb3 0.667 0.333 0.565 1
Tb4 0.667 0.333 0.935 1
Os1 0.000 0.000 0.000 1
Os2 0.000 0.000 0.500 1
Ru1 0.171 0.343 0.750 1
Ru2 0.171 0.829 0.750 1
Ru3 0.343 0.171 0.250 1
Ru4 0.657 0.829 0.750 1
Ru5 0.829 0.171 0.250 1
Ru6 0.829 0.657 0.250 1
```

***

(10)
Calculated powder diffractogram
Compound: B2Pd3Pt3
Radiation: Cu Kα (weighted mean of Kα1 and Kα2)
Structure: a cell relaxed with PBE
Neutral-atom scattering factors, no anomalous dispersion.

The 10 most intense peaks (10° ≤ 2θ ≤ 80°), most intense first:
2theta  I_rel
35.2  100
41.3  64
47.3  29
36.3  23
48.2  22
49.3  22
77.7  19
70.7  18
31.9  17
76.2  16

Crystal structure
```
data_B2Pd3Pt3
_space_group_name_H-M_alt 'P 1'
_space_group_IT_number 1
_cell_length_a 5.592
_cell_length_b 5.592
_cell_length_c 11.218
_cell_angle_alpha 90.00
_cell_angle_beta 90.00
_cell_angle_gamma 141.38
loop_
_space_group_symop_operation_xyz
'x,y,z'
loop_
_atom_site_label
_atom_site_fract_x
_atom_site_fract_y
_atom_site_fract_z
_atom_site_occupancy
B1 0.190 0.810 0.615 1
B2 0.190 0.810 0.885 1
B3 0.810 0.190 0.115 1
B4 0.810 0.190 0.385 1
Pd1 0.011 0.989 0.126 1
Pd2 0.011 0.989 0.374 1
Pd3 0.362 0.638 0.250 1
Pd4 0.638 0.362 0.750 1
Pd5 0.989 0.011 0.626 1
Pd6 0.989 0.011 0.874 1
Pt1 0.334 0.666 0.750 1
Pt2 0.349 0.651 0.007 1
Pt3 0.349 0.651 0.493 1
Pt4 0.651 0.349 0.507 1
Pt5 0.651 0.349 0.993 1
Pt6 0.666 0.334 0.250 1
```